Diffraction record for K2LiBiBr6. The powder diffraction line list is theoretical, not measured: it uses a cell relaxed with GGA-PBE and Cu Kα.
Neutral-atom scattering factors, no anomalous dispersion.

Main lines, by angle (5 to 70 degrees two-theta):
13.73°, I = 51, (1 1 1); 15.86°, I = 74, (2 0 0); 26.46°, I = 45, (3 1 1); 27.66°, I = 43, (2 2 2); 32.04°, I = 100, (4 0 0); 35.00°, I = 27, (3 3 1); 35.94°, I = 41, (4 2 0); 45.95°, I = 71, (4 4 0)

Crystal structure
```
data_K2LiBiBr6
_chemical_formula_sum 'K8 Li4 Bi4 Br24'
_symmetry_space_group_name_H-M 'F m -3 m'
_symmetry_Int_Tables_number 225
_symmetry_space_group_name_Hall '-F 4 2 3'
_cell_length_a 11.1736
_cell_length_b 11.1736
_cell_length_c 11.1736
_cell_angle_alpha 90.00
_cell_angle_beta 90.00
_cell_angle_gamma 90.00
loop_
_atom_site_label
_atom_site_fract_x
_atom_site_fract_y
_atom_site_fract_z
K1 0.2500 0.2500 0.2500
Li1 0.0000 0.0000 0.0000
Bi1 0.0000 0.0000 0.5000
Br1 0.0000 0.0000 0.2442
```